[1]
Diffraction record for Sm3Tl3InS8. The powder diffractogram is calculated, not measured: it uses a PBE-relaxed structure and CuKα.
Peak positions follow from Bragg's law for the DFT cell and can differ from measured ones.

Largest 10 diffraction maxima, by angle, 5° ≤ 2θ ≤ 70°:
14.93 deg, I 14; 24.25 deg, I 25; 26.56 deg, I 55; 30.11 deg, I 100; 41.64 deg, I 38; 44.54 deg, I 36; 48.77 deg, I 14; 51.35 deg, I 21; 54.70 deg, I 18; 68.92 deg, I 15

Crystal structure
abc: 8.714 8.714 8.714
angles: 55.67 55.67 55.67
Positions (direct):
Sm: 0.000 0.500 0.500
Sm: 0.500 0.000 0.500
Sm: 0.500 0.500 0.000
Tl: 0.000 0.000 0.500
Tl: 0.000 0.500 0.000
Tl: 0.500 0.000 0.000
In: 0.000 0.000 0.000
S: 0.227 0.227 0.747
S: 0.227 0.747 0.227
S: 0.253 0.773 0.773
S: 0.264 0.264 0.264
S: 0.736 0.736 0.736
S: 0.747 0.227 0.227
S: 0.773 0.253 0.773
S: 0.773 0.773 0.253

=====

[2]
Diffraction record for Cs2Cd3HgBi4. The powder diffractogram is calculated, not measured: it uses a PBE-relaxed structure and CuKα.
Peak positions follow from Bragg's law for the DFT cell and can differ from measured ones.

Largest 10 diffraction maxima, by angle, 5° ≤ 2θ ≤ 70°:
14.47 deg, I 22; 27.42 deg, I 50; 27.59 deg, I 100; 33.27 deg, I 82; 37.71 deg, I 55; 40.47 deg, I 20; 43.64 deg, I 28; 47.77 deg, I 30; 56.03 deg, I 35; 62.40 deg, I 25

Crystal structure
abc: 5.385 5.385 12.242
angles: 90.00 90.00 90.00
Positions (direct):
Cs: 0.000 0.500 0.244
Cs: 0.500 0.000 0.756
Cd: 0.000 0.000 0.000
Cd: 0.000 0.500 0.629
Cd: 0.500 0.000 0.371
Hg: 0.500 0.500 0.000
Bi: 0.000 0.000 0.500
Bi: 0.000 0.500 0.874
Bi: 0.500 0.000 0.126
Bi: 0.500 0.500 0.500

=====

[3]
Diffraction record for LiAg8Pd5. The powder diffractogram is calculated, not measured: it uses a PBE-relaxed structure and CuKα.
Peak positions follow from Bragg's law for the DFT cell and can differ from measured ones.

Largest 10 diffraction maxima, by angle, 5° ≤ 2θ ≤ 70°:
15.74 deg, I 15; 27.84 deg, I 16; 35.03 deg, I 45; 36.29 deg, I 55; 36.45 deg, I 72; 39.49 deg, I 27; 42.21 deg, I 100; 42.90 deg, I 33; 43.30 deg, I 34; 69.55 deg, I 26

Crystal structure
abc: 6.851 6.851 6.851
angles: 110.65 110.65 107.13
Positions (direct):
Li: 0.000 0.000 0.000
Ag: 0.105 0.305 0.409
Ag: 0.275 0.172 0.767
Ag: 0.304 0.895 0.199
Ag: 0.405 0.508 0.233
Ag: 0.492 0.725 0.897
Ag: 0.695 0.104 0.801
Ag: 0.828 0.595 0.103
Ag: 0.896 0.696 0.591
Pd: 0.031 0.442 0.805
Pd: 0.250 0.750 0.500
Pd: 0.558 0.363 0.589
Pd: 0.637 0.226 0.195
Pd: 0.774 0.969 0.411

=====

[4]
Diffraction record for Ca3Tl6Pb. The powder diffractogram is calculated, not measured: it uses a PBE-relaxed structure and CuKα.
Peak positions follow from Bragg's law for the DFT cell and can differ from measured ones.

Largest 10 diffraction maxima, by angle, 5° ≤ 2θ ≤ 70°:
13.54 deg, I 22; 20.79 deg, I 28; 23.57 deg, I 11; 31.65 deg, I 100; 39.89 deg, I 36; 41.43 deg, I 23; 46.79 deg, I 9; 58.81 deg, I 12; 60.18 deg, I 18; 64.49 deg, I 9

Crystal structure
abc: 7.855 7.855 7.855
angles: 112.68 112.68 112.68
Positions (direct):
Ca: 0.000 0.500 0.500
Ca: 0.500 0.000 0.500
Ca: 0.500 0.500 0.000
Tl: 0.065 0.065 0.369
Tl: 0.065 0.369 0.065
Tl: 0.369 0.065 0.065
Tl: 0.638 0.935 0.935
Tl: 0.935 0.638 0.935
Tl: 0.935 0.935 0.638
Pb: 0.496 0.496 0.496